Diffraction record for RbCl2F11. The powder X-ray diffraction pattern is calculated, not measured: it uses the GGA-PBE geometry in Alexandria and copper Kα.

Most intense lines, 10° ≤ 2θ ≤ 90°, by angle:
- 2θ 16.07, d 5.514, intensity 16
- 2θ 20.70, d 4.291, intensity 100
- 2θ 22.10, d 4.023, intensity 82
- 2θ 24.50, d 3.634, intensity 69
- 2θ 29.23, d 3.055, intensity 29
- 2θ 33.53, d 2.672, intensity 13
- 2θ 37.23, d 2.415, intensity 15
- 2θ 41.76, d 2.163, intensity 16
- 2θ 42.12, d 2.145, intensity 52
- 2θ 42.97, d 2.105, intensity 26
- 2θ 44.25, d 2.047, intensity 17
- 2θ 50.96, d 1.792, intensity 13

Structural model:
abc: 8.779 8.779 8.779
angles: 113.30 113.16 102.19
Sites, in units of the cell vectors:
Rb1 0.250 0.250 0.000
Rb2 0.750 0.750 0.000
Cl1 0.155 0.654 0.808
Cl2 0.345 0.154 0.499
Cl3 0.655 0.846 0.501
Cl4 0.845 0.346 0.192
F1 0.000 0.500 0.500
F2 0.046 0.364 0.183
F3 0.136 0.452 0.816
F4 0.136 0.952 0.316
F5 0.181 0.864 0.817
F6 0.223 0.276 0.499
F7 0.277 0.776 0.053
F8 0.319 0.136 0.683
F9 0.364 0.180 0.316
F10 0.364 0.680 0.816
F11 0.454 0.636 0.317
F12 0.500 0.000 0.500
F13 0.546 0.364 0.683
F14 0.636 0.320 0.184
F15 0.636 0.820 0.684
F16 0.681 0.864 0.317
F17 0.723 0.224 0.947
F18 0.777 0.724 0.501
F19 0.819 0.136 0.183
F20 0.864 0.048 0.684
F21 0.864 0.548 0.184
F22 0.954 0.636 0.817

Diffraction record for PmSmY5. The powder X-ray diffraction pattern is calculated, not measured: it uses the GGA-PBE geometry in Alexandria and copper Kα.

Most intense lines, 10° ≤ 2θ ≤ 90°, by angle:
- 2θ 21.89, d 4.061, intensity 13
- 2θ 24.81, d 3.588, intensity 21
- 2θ 28.64, d 3.117, intensity 25
- 2θ 31.55, d 2.836, intensity 40
- 2θ 31.81, d 2.813, intensity 100
- 2θ 32.08, d 2.790, intensity 21
- 2θ 32.18, d 2.781, intensity 47
- 2θ 33.00, d 2.715, intensity 11
- 2θ 36.18, d 2.483, intensity 12
- 2θ 47.84, d 1.901, intensity 10
- 2θ 56.33, d 1.633, intensity 12
- 2θ 56.80, d 1.621, intensity 16

Structural model:
abc: 6.574 6.574 11.625
angles: 103.91 103.91 95.41
Sites, in units of the cell vectors:
Pm1 0.000 0.500 0.000
Pm2 0.500 0.000 0.500
Sm1 0.242 0.758 0.750
Sm2 0.758 0.242 0.250
Y1 0.052 0.193 0.664
Y2 0.193 0.052 0.164
Y3 0.228 0.431 0.464
Y4 0.412 0.588 0.250
Y5 0.431 0.228 0.964
Y6 0.569 0.772 0.036
Y7 0.588 0.412 0.750
Y8 0.772 0.569 0.536
Y9 0.807 0.948 0.836
Y10 0.948 0.807 0.336

Diffraction record for In3Hg8Pb2. The powder X-ray diffraction pattern is calculated, not measured: it uses the GGA-PBE geometry in Alexandria and copper Kα.

Most intense lines, 10° ≤ 2θ ≤ 90°, by angle:
- 2θ 28.13, d 3.172, intensity 47
- 2θ 31.18, d 2.868, intensity 75
- 2θ 32.68, d 2.740, intensity 34
- 2θ 33.11, d 2.705, intensity 100
- 2θ 33.43, d 2.680, intensity 87
- 2θ 34.15, d 2.625, intensity 77
- 2θ 36.11, d 2.488, intensity 67
- 2θ 36.65, d 2.452, intensity 42
- 2θ 54.64, d 1.680, intensity 33
- 2θ 65.38, d 1.427, intensity 34
- 2θ 65.57, d 1.424, intensity 25
- 2θ 66.01, d 1.415, intensity 23

Structural model:
abc: 10.992 3.361 11.056
angles: 90.00 118.25 90.00
Sites, in units of the cell vectors:
In1 0.000 0.000 0.000
In2 0.076 0.500 0.778
In3 0.924 0.500 0.222
Hg1 0.159 0.500 0.545
Hg2 0.217 0.000 0.314
Hg3 0.299 0.500 0.091
Hg4 0.365 0.000 0.864
Hg5 0.635 0.000 0.136
Hg6 0.701 0.500 0.909
Hg7 0.783 0.000 0.686
Hg8 0.841 0.500 0.455
Pb1 0.465 0.000 0.636
Pb2 0.535 0.000 0.364

Diffraction record for La3Pb. The powder X-ray diffraction pattern is calculated, not measured: it uses the GGA-PBE geometry in Alexandria and copper Kα.

Most intense lines, 10° ≤ 2θ ≤ 90°, by angle:
- 2θ 27.53, d 3.240, intensity 43
- 2θ 30.86, d 2.898, intensity 82
- 2θ 33.89, d 2.645, intensity 100
- 2θ 50.80, d 1.797, intensity 20
- 2θ 52.87, d 1.732, intensity 57
- 2θ 56.84, d 1.620, intensity 19
- 2θ 64.29, d 1.449, intensity 16
- 2θ 66.08, d 1.414, intensity 18
- 2θ 67.84, d 1.381, intensity 14
- 2θ 79.69, d 1.203, intensity 16
- 2θ 81.33, d 1.183, intensity 17
- 2θ 84.60, d 1.145, intensity 12

Structural model:
abc: 6.480 6.480 6.480
angles: 90.00 90.00 90.00
Sites, in units of the cell vectors:
La1 0.000 0.250 0.500
La2 0.000 0.750 0.500
La3 0.250 0.500 0.000
La4 0.500 0.000 0.250
La5 0.500 0.000 0.750
La6 0.750 0.500 0.000
Pb1 0.000 0.000 0.000
Pb2 0.500 0.500 0.500